Diffraction record for PaFe4H4. The powder X-ray diffraction pattern is computed, not measured: it uses a cell relaxed with PBE and Cu Kα X-rays.

The 6 most intense peaks (10° ≤ 2θ ≤ 80°), low angle first:
- 19.99°, I = 277, hkl 1 1 0
- 25.86°, I = 216, hkl 1 0 1
- 28.42°, I = 265, hkl 2 0 0
- 38.80°, I = 1000, hkl 2 1 1
- 45.67°, I = 195, hkl 3 1 0
- 65.27°, I = 195, hkl 3 1 2

Cell and atoms:
```
data_PaFe4H4
_cell_length_a 6.282
_cell_length_b 6.282
_cell_length_c 4.120
_cell_angle_alpha 90.00
_cell_angle_beta 90.00
_cell_angle_gamma 90.00
_symmetry_space_group_name_H-M 'P 42/n m c'
_symmetry_Int_Tables_number 137
loop_
_symmetry_equiv_pos_as_xyz
'x,y,z'
'-x,-y,-z'
'-y+1/2,x,z+1/2'
'y+1/2,-x,-z+1/2'
'-x+1/2,-y+1/2,z'
'x+1/2,y+1/2,-z'
'y,-x+1/2,z+1/2'
'-y,x+1/2,-z+1/2'
'x+1/2,-y,-z'
'-x+1/2,y,z'
'-y,-x,-z+1/2'
'y,x,z+1/2'
'-x,y+1/2,-z'
'x,-y+1/2,z'
'y+1/2,x+1/2,-z+1/2'
'-y+1/2,-x+1/2,z+1/2'
loop_
_atom_site_label
_atom_site_fract_x
_atom_site_fract_y
_atom_site_fract_z
Pa1 0.250 0.750 0.250
Fe1 0.039 0.250 0.210
H1 0.091 0.250 0.613
```

=====

Diffraction record for PaFeH6Rh. The powder X-ray diffraction pattern is computed, not measured: it uses a cell relaxed with PBE and Cu Kα X-rays.

The 6 most intense peaks (10° ≤ 2θ ≤ 80°), low angle first:
- 22.90°, I = 233, hkl 1 0 0
- 31.60°, I = 1000, hkl 1 0 1
- 40.22°, I = 408, hkl 1 1 0
- 52.02°, I = 252, hkl 2 0 1
- 60.93°, I = 244, hkl 1 1 2
- 67.73°, I = 227, hkl 2 1 1

Cell and atoms:
```
data_PaFeH6Rh
_cell_length_a 4.4849
_cell_length_b 4.4849
_cell_length_c 4.1374
_cell_angle_alpha 90.00
_cell_angle_beta 90.00
_cell_angle_gamma 120.00
_symmetry_space_group_name_H-M 'P -6 m 2'
_symmetry_Int_Tables_number 187
_symmetry_space_group_name_Hall 'P -6 2'
loop_
_atom_site_label
_atom_site_fract_x
_atom_site_fract_y
_atom_site_fract_z
Pa1 0.0000 0.0000 0.0000
Fe1 0.6667 0.3333 0.5000
H1 0.5112 0.0224 0.2238
Rh1 0.3333 0.6667 0.5000
```

=====

Diffraction record for FeHPd. The powder X-ray diffraction pattern is computed, not measured: it uses a cell relaxed with PBE and Cu Kα X-rays.

The 6 most intense peaks (10° ≤ 2θ ≤ 80°), low angle first:
- 30.07°, I = 72, hkl 0 0 3
- 40.27°, I = 1000, hkl 2 0 -2
- 40.47°, I = 314, hkl 0 0 4
- 46.90°, I = 641, hkl 1 1 -3
- 68.36°, I = 201, hkl 0 2 0
- 68.67°, I = 119, hkl 1 1 5

Cell and atoms:
```
data_FeHPd
_cell_length_a 4.758
_cell_length_b 2.743
_cell_length_c 9.059
_cell_angle_alpha 90.00
_cell_angle_beta 100.17
_cell_angle_gamma 90.00
_symmetry_space_group_name_H-M 'C 1 m 1'
_symmetry_Int_Tables_number 8
_symmetry_space_group_name_Hall 'C -2y'
loop_
_atom_site_label
_atom_site_fract_x
_atom_site_fract_y
_atom_site_fract_z
Fe1 0.000 0.000 0.000
Fe2 0.242 0.500 0.239
H1 0.110 0.000 0.343
H2 0.375 0.000 0.133
Pd1 0.254 0.000 0.765
Pd2 0.497 0.000 0.500
```

=====

Diffraction record for PmFe5H11. The powder X-ray diffraction pattern is computed, not measured: it uses a cell relaxed with PBE and Cu Kα X-rays.

The 6 most intense peaks (10° ≤ 2θ ≤ 80°), low angle first:
- 19.31°, I = 422, hkl 1 1 0
- 26.34°, I = 1000, hkl 0 2 1
- 30.13°, I = 473, hkl 2 0 -1
- 32.06°, I = 478, hkl 1 1 -2
- 35.76°, I = 538, hkl 1 3 -1
- 44.92°, I = 411, hkl 0 4 1

Cell and atoms:
```
data_PmFe5H11
_cell_length_a 5.958
_cell_length_b 8.710
_cell_length_c 5.916
_cell_angle_alpha 90.00
_cell_angle_beta 114.75
_cell_angle_gamma 90.00
_symmetry_space_group_name_H-M 'C 1 2/m 1'
_symmetry_Int_Tables_number 12
_symmetry_space_group_name_Hall '-C 2y'
loop_
_atom_site_label
_atom_site_fract_x
_atom_site_fract_y
_atom_site_fract_z
Pm1 0.000 0.000 0.000
Fe1 0.000 0.500 0.000
Fe2 0.218 0.148 0.627
H1 0.000 0.000 0.500
H2 0.039 0.500 0.295
H3 0.068 0.203 0.327
H4 0.189 0.355 0.055
```